(1)
Calculated powder diffractogram
Compound: GaSi17NiGe13
Radiation: Cu Kα (weighted mean of Kα1 and Kα2)
Structure: a cell relaxed with GGA-PBE
Kinematic intensities with the Lorentz-polarization factor, no thermal factor.

Largest 6 diffraction maxima, in order of rising 2θ, 10° ≤ 2θ ≤ 90°:
| Position (°2θ) | d_spacing | intensity |
| --- | --- | --- |
| 27.7 | 3.215 | 86 |
| 27.9 | 3.201 | 84 |
| 46.2 | 1.967 | 100 |
| 46.5 | 1.954 | 19 |
| 54.6 | 1.682 | 18 |
| 54.8 | 1.676 | 24 |

Atomic structure:
Cell lengths 5.5819, 3.9337, 31.2639 Å; angles 90.00, 90.08, 90.00 degrees
Fractional positions:
Ga (0.0000, 0.0000, 0.0000)
Si (0.2395, 0.0000, 0.1770)
Si (0.2406, 0.0000, 0.6806)
Si (0.2415, 0.0000, 0.4311)
Si (0.2468, 0.0000, 0.9347)
Si (0.4437, 0.5000, 0.0590)
Si (0.4808, 0.5000, 0.1798)
Si (0.4806, 0.5000, 0.4326)
Si (0.4822, 0.5000, 0.6814)
Si (0.4841, 0.5000, 0.9330)
Si (0.4923, 0.5000, 0.8054)
Si (0.7284, 0.5000, 0.2409)
Si (0.7292, 0.5000, 0.7430)
Si (0.7299, 0.5000, 0.4934)
Si (0.7411, 0.5000, 0.6214)
Si (0.9816, 0.0000, 0.6210)
Si (0.9921, 0.0000, 0.3703)
Si (0.9963, 0.0000, 0.1136)
Ni (0.2607, 0.0000, 0.0602)
Ge (0.2294, 0.0000, 0.3059)
Ge (0.2298, 0.0000, 0.5580)
Ge (0.2428, 0.0000, 0.8062)
Ge (0.4926, 0.5000, 0.3054)
Ge (0.4933, 0.5000, 0.5579)
Ge (0.7123, 0.5000, 0.9988)
Ge (0.7326, 0.5000, 0.8698)
Ge (0.7366, 0.5000, 0.1168)
Ge (0.7418, 0.5000, 0.3709)
Ge (0.9798, 0.0000, 0.2399)
Ge (0.9803, 0.0000, 0.4927)
Ge (0.9808, 0.0000, 0.7424)
Ge (0.9943, 0.0000, 0.8717)

***

(2)
Calculated powder diffractogram
Compound: Cs2ZnGe3Te8
Radiation: Cu Kα (weighted mean of Kα1 and Kα2)
Structure: a cell relaxed with GGA-PBE
Kinematic intensities with the Lorentz-polarization factor, no thermal factor.

Largest 6 diffraction maxima, in order of rising 2θ, 10° ≤ 2θ ≤ 90°:
| Position (°2θ) | d_spacing | intensity |
| --- | --- | --- |
| 24.3 | 3.664 | 23 |
| 25.5 | 3.490 | 55 |
| 25.9 | 3.439 | 38 |
| 26.7 | 3.333 | 100 |
| 43.8 | 2.066 | 24 |
| 52.0 | 1.760 | 29 |

Atomic structure:
Cell lengths 8.2897, 13.7571, 19.0544 Å; angles 90.00, 90.00, 90.00 degrees
Fractional positions:
Cs (0.2474, 0.1146, 0.4496)
Cs (0.2473, 0.8081, 0.3486)
Cs (0.2527, 0.1919, 0.8486)
Cs (0.2526, 0.8854, 0.9496)
Cs (0.7474, 0.3854, 0.5504)
Cs (0.7473, 0.6919, 0.6514)
Cs (0.7527, 0.3081, 0.1514)
Cs (0.7526, 0.6146, 0.0504)
Zn (0.0128, 0.0017, 0.1534)
Zn (0.4872, 0.9983, 0.6534)
Zn (0.5128, 0.4983, 0.8466)
Zn (0.9872, 0.5017, 0.3466)
Ge (0.0029, 0.5133, 0.8474)
Ge (0.2350, 0.5663, 0.5200)
Ge (0.2395, 0.5580, 0.1759)
Ge (0.2605, 0.4420, 0.6759)
Ge (0.2650, 0.4337, 0.0200)
Ge (0.4971, 0.4867, 0.3474)
Ge (0.5029, 0.9867, 0.1526)
Ge (0.7350, 0.9337, 0.4800)
Ge (0.7395, 0.9420, 0.8241)
Ge (0.7605, 0.0580, 0.3241)
Ge (0.7650, 0.0663, 0.9800)
Ge (0.9971, 0.0133, 0.6526)
Te (0.0072, 0.8879, 0.5457)
Te (0.0112, 0.8920, 0.7617)
Te (0.0217, 0.1199, 0.2661)
Te (0.0288, 0.1205, 0.0410)
Te (0.2389, 0.3760, 0.5449)
Te (0.2387, 0.3789, 0.3420)
Te (0.2445, 0.1296, 0.6521)
Te (0.2442, 0.3685, 0.1515)
Te (0.2558, 0.6315, 0.6515)
Te (0.2555, 0.8704, 0.1521)
Te (0.2613, 0.6211, 0.8420)
Te (0.2611, 0.6240, 0.0449)
Te (0.4712, 0.8795, 0.5410)
Te (0.4783, 0.8801, 0.7661)
Te (0.4888, 0.1080, 0.2617)
Te (0.4928, 0.1121, 0.0457)
Te (0.5072, 0.6121, 0.4543)
Te (0.5112, 0.6080, 0.2383)
Te (0.5217, 0.3801, 0.7339)
Te (0.5288, 0.3795, 0.9590)
Te (0.7387, 0.1211, 0.6580)
Te (0.7389, 0.1240, 0.4551)
Te (0.7442, 0.1315, 0.8485)
Te (0.7445, 0.3704, 0.3479)
Te (0.7555, 0.6296, 0.8479)
Te (0.7558, 0.8685, 0.3485)
Te (0.7611, 0.8760, 0.9551)
Te (0.7613, 0.8789, 0.1580)
Te (0.9712, 0.6205, 0.4590)
Te (0.9783, 0.6199, 0.2339)
Te (0.9888, 0.3920, 0.7383)
Te (0.9928, 0.3879, 0.9543)

***

(3)
Calculated powder diffractogram
Compound: PrNd2Ni6Pt3
Radiation: Cu Kα (weighted mean of Kα1 and Kα2)
Structure: a cell relaxed with GGA-PBE
Kinematic intensities with the Lorentz-polarization factor, no thermal factor.

Largest 6 diffraction maxima, in order of rising 2θ, 10° ≤ 2θ ≤ 90°:
| Position (°2θ) | d_spacing | intensity |
| --- | --- | --- |
| 20.8 | 4.274 | 19 |
| 34.6 | 2.593 | 59 |
| 40.7 | 2.217 | 100 |
| 43.7 | 2.069 | 17 |
| 44.0 | 2.057 | 19 |
| 66.1 | 1.413 | 23 |

Atomic structure:
Cell lengths 9.0582, 9.0582, 9.0582 Å; angles 33.27, 33.27, 33.27 degrees
Fractional positions:
Pr (0.0000, 0.0000, 0.0000)
Nd (0.1380, 0.1380, 0.1380)
Nd (0.8620, 0.8620, 0.8620)
Ni (0.0802, 0.5846, 0.5846)
Ni (0.4154, 0.4154, 0.9198)
Ni (0.4154, 0.9198, 0.4154)
Ni (0.5846, 0.0802, 0.5846)
Ni (0.5846, 0.5846, 0.0802)
Ni (0.9198, 0.4154, 0.4154)
Pt (0.3326, 0.3326, 0.3326)
Pt (0.5000, 0.5000, 0.5000)
Pt (0.6674, 0.6674, 0.6674)

***

(4)
Calculated powder diffractogram
Compound: NaErCdTe3
Radiation: Cu Kα (weighted mean of Kα1 and Kα2)
Structure: a cell relaxed with GGA-PBE
Kinematic intensities with the Lorentz-polarization factor, no thermal factor.

Largest 6 diffraction maxima, in order of rising 2θ, 10° ≤ 2θ ≤ 90°:
| Position (°2θ) | d_spacing | intensity |
| --- | --- | --- |
| 12.0 | 7.373 | 100 |
| 25.5 | 3.488 | 47 |
| 28.3 | 3.158 | 50 |
| 31.2 | 2.869 | 96 |
| 39.8 | 2.264 | 62 |
| 43.3 | 2.089 | 42 |

Atomic structure:
Cell lengths 14.7467, 4.3948, 11.8767 Å; angles 90.00, 90.00, 90.00 degrees
Fractional positions:
Na (0.2330, 0.2500, 0.0715)
Na (0.2670, 0.7500, 0.5715)
Na (0.7330, 0.2500, 0.4285)
Na (0.7670, 0.7500, 0.9285)
Er (0.0171, 0.2500, 0.3451)
Er (0.4829, 0.7500, 0.8451)
Er (0.5171, 0.2500, 0.1549)
Er (0.9829, 0.7500, 0.6549)
Cd (0.0130, 0.7500, 0.0968)
Cd (0.4870, 0.2500, 0.5968)
Cd (0.5130, 0.7500, 0.4032)
Cd (0.9870, 0.2500, 0.9032)
Te (0.1104, 0.2500, 0.5713)
Te (0.1117, 0.7500, 0.8772)
Te (0.1487, 0.7500, 0.2619)
Te (0.3513, 0.2500, 0.7619)
Te (0.3883, 0.2500, 0.3772)
Te (0.3896, 0.7500, 0.0713)
Te (0.6104, 0.2500, 0.9287)
Te (0.6117, 0.7500, 0.6228)
Te (0.6487, 0.7500, 0.2381)
Te (0.8513, 0.2500, 0.7381)
Te (0.8883, 0.2500, 0.1228)
Te (0.8896, 0.7500, 0.4287)

***

(5)
Calculated powder diffractogram
Compound: LuTlIr
Radiation: Cu Kα (weighted mean of Kα1 and Kα2)
Structure: a cell relaxed with GGA-PBE
Kinematic intensities with the Lorentz-polarization factor, no thermal factor.

Largest 6 diffraction maxima, in order of rising 2θ, 10° ≤ 2θ ≤ 90°:
| Position (°2θ) | d_spacing | intensity |
| --- | --- | --- |
| 23.4 | 3.802 | 31 |
| 38.7 | 2.328 | 100 |
| 45.7 | 1.985 | 16 |
| 55.8 | 1.646 | 17 |
| 70.0 | 1.344 | 36 |
| 82.9 | 1.164 | 11 |

Atomic structure:
Cell lengths 6.5850, 6.5850, 6.5850 Å; angles 90.00, 90.00, 90.00 degrees
Fractional positions:
Lu (0.0000, 0.0000, 0.0000)
Lu (0.0000, 0.5000, 0.5000)
Lu (0.5000, 0.0000, 0.5000)
Lu (0.5000, 0.5000, 0.0000)
Tl (0.2500, 0.2500, 0.7500)
Tl (0.2500, 0.7500, 0.2500)
Tl (0.7500, 0.2500, 0.2500)
Tl (0.7500, 0.7500, 0.7500)
Ir (0.0000, 0.0000, 0.5000)
Ir (0.0000, 0.5000, 0.0000)
Ir (0.5000, 0.0000, 0.0000)
Ir (0.5000, 0.5000, 0.5000)

***

(6)
Calculated powder diffractogram
Compound: Mg5Pd
Radiation: Cu Kα (weighted mean of Kα1 and Kα2)
Structure: a cell relaxed with GGA-PBE
Kinematic intensities with the Lorentz-polarization factor, no thermal factor.

Largest 6 diffraction maxima, in order of rising 2θ, 10° ≤ 2θ ≤ 90°:
| Position (°2θ) | d_spacing | intensity |
| --- | --- | --- |
| 19.4 | 4.577 | 53 |
| 26.8 | 3.324 | 37 |
| 33.9 | 2.643 | 32 |
| 37.2 | 2.418 | 24 |
| 38.8 | 2.319 | 100 |
| 51.2 | 1.784 | 19 |

Atomic structure:
Cell lengths 5.2851, 5.2851, 4.8367 Å; angles 90.00, 90.00, 120.00 degrees
Fractional positions:
Mg (0.0000, 0.3160, 0.0000)
Mg (0.3160, 0.0000, 0.0000)
Mg (0.3333, 0.6667, 0.5000)
Mg (0.6667, 0.3333, 0.5000)
Mg (0.6840, 0.6840, 0.0000)
Pd (0.0000, 0.0000, 0.5000)

***

(7)
Calculated powder diffractogram
Compound: TaOF3
Radiation: Cu Kα (weighted mean of Kα1 and Kα2)
Structure: a cell relaxed with GGA-PBE
Kinematic intensities with the Lorentz-polarization factor, no thermal factor.

Largest 6 diffraction maxima, in order of rising 2θ, 10° ≤ 2θ ≤ 90°:
| Position (°2θ) | d_spacing | intensity |
| --- | --- | --- |
| 15.5 | 5.715 | 30 |
| 24.6 | 3.614 | 100 |
| 26.0 | 3.423 | 54 |
| 28.3 | 3.152 | 54 |
| 41.2 | 2.193 | 39 |
| 44.9 | 2.021 | 25 |

Atomic structure:
Cell lengths 8.0820, 8.0820, 3.7782 Å; angles 90.00, 90.00, 90.00 degrees
Fractional positions:
Ta (0.1501, 0.1501, 0.0000)
Ta (0.3499, 0.6501, 0.5000)
Ta (0.6501, 0.3499, 0.5000)
Ta (0.8499, 0.8499, 0.0000)
O (0.1265, 0.1265, 0.5000)
O (0.3735, 0.6265, 0.0000)
O (0.6265, 0.3735, 0.0000)
O (0.8735, 0.8735, 0.5000)
F (0.1085, 0.8915, 0.0000)
F (0.1218, 0.6258, 0.5000)
F (0.1258, 0.3782, 0.0000)
F (0.3742, 0.8782, 0.5000)
F (0.3782, 0.1258, 0.0000)
F (0.3915, 0.3915, 0.5000)
F (0.6085, 0.6085, 0.5000)
F (0.6218, 0.8742, 0.0000)
F (0.6258, 0.1218, 0.5000)
F (0.8742, 0.6218, 0.0000)
F (0.8782, 0.3742, 0.5000)
F (0.8915, 0.1085, 0.0000)

***

(8)
Calculated powder diffractogram
Compound: KP2IrSeS6
Radiation: Cu Kα (weighted mean of Kα1 and Kα2)
Structure: a cell relaxed with GGA-PBE
Kinematic intensities with the Lorentz-polarization factor, no thermal factor.

Largest 6 diffraction maxima, in order of rising 2θ, 10° ≤ 2θ ≤ 90°:
| Position (°2θ) | d_spacing | intensity |
| --- | --- | --- |
| 13.6 | 6.519 | 40 |
| 13.8 | 6.400 | 100 |
| 18.5 | 4.787 | 30 |
| 23.2 | 3.834 | 31 |
| 27.4 | 3.260 | 38 |
| 32.1 | 2.791 | 69 |

Atomic structure:
Cell lengths 6.5672, 6.5672, 6.4645 Å; angles 95.52, 95.52, 93.60 degrees
Fractional positions:
K (0.0000, 0.0000, 0.0000)
P (0.0571, 0.5219, 0.4212)
P (0.4781, 0.9429, 0.5788)
Ir (0.6061, 0.3939, 0.5000)
Se (0.1282, 0.8718, 0.5000)
S (0.2878, 0.3931, 0.2802)
S (0.4785, 0.2105, 0.7714)
S (0.6069, 0.7122, 0.7198)
S (0.6133, 0.0544, 0.3341)
S (0.7895, 0.5215, 0.2286)
S (0.9456, 0.3867, 0.6659)

***

(9)
Calculated powder diffractogram
Compound: LiHfNiP2
Radiation: Cu Kα (weighted mean of Kα1 and Kα2)
Structure: a cell relaxed with GGA-PBE
Kinematic intensities with the Lorentz-polarization factor, no thermal factor.

Largest 6 diffraction maxima, in order of rising 2θ, 10° ≤ 2θ ≤ 90°:
| Position (°2θ) | d_spacing | intensity |
| --- | --- | --- |
| 14.4 | 6.158 | 52 |
| 27.6 | 3.237 | 25 |
| 31.2 | 2.865 | 100 |
| 40.4 | 2.231 | 63 |
| 48.7 | 1.869 | 33 |
| 52.8 | 1.733 | 16 |

Atomic structure:
Cell lengths 3.7373, 3.7373, 6.1577 Å; angles 90.00, 90.00, 120.00 degrees
Fractional positions:
Li (0.0000, 0.0000, 0.0000)
Hf (0.3333, 0.6667, 0.6218)
Ni (0.6667, 0.3333, 0.2720)
P (0.0000, 0.0000, 0.3755)
P (0.6667, 0.3333, 0.8739)